# 1
Starting from the GGA-PBE geometry in Alexandria, the powder XRD pattern of Cs8Na4Y3HoCl24 was computed for CuKα.
Intensities are scaled so that the largest is 100.

Most intense lines, 10 to 90 degrees two-theta, in order of rising 2θ:
| h k l | Position (°2θ) | Rel. int. |
| --- | --- | --- |
| 1 1 0 | 14.1 | 19 |
| 2 0 0 | 23.1 | 100 |
| 2 2 0 | 28.4 | 47 |
| 2 0 4 | 32.9 | 73 |
| 3 2 2 | 40.5 | 46 |
| 4 0 0 | 47.2 | 50 |
| 4 0 4 | 53.1 | 22 |
| 4 2 4 | 55.9 | 17 |
| 5 2 2 | 63.9 | 25 |
| 6 0 4 | 78.5 | 21 |

Atomic structure:
a = 7.7085 Å, b = 10.9028 Å, c = 15.4225 Å
α = 90.00°, β = 90.00°, γ = 90.00°
Space group Pmmm (No. 47)
Symmetry-distinct sites (fractional):
Cs (0.0000, 0.2500, 0.0000) x2
Cs (0.0000, 0.2498, 0.5000) x2
Cs (0.5000, 0.2499, 0.2501) x4
Na (0.0000, 0.0000, 0.2503) x2
Na (0.5000, 0.5000, 0.0000) x1
Na (0.5000, 0.5000, 0.5000) x1
Y (0.0000, 0.5000, 0.2500) x2
Y (0.5000, 0.0000, 0.0000) x1
Ho (0.5000, 0.0000, 0.5000) x1
Cl (0.0000, 0.2572, 0.2501) x4
Cl (0.2427, 0.5000, 0.1287) x4
Cl (0.2429, 0.5000, 0.3714) x4
Cl (0.2572, 0.0000, 0.1214) x4
Cl (0.2584, 0.0000, 0.3793) x4
Cl (0.5000, 0.2415, 0.5000) x2
Cl (0.5000, 0.2428, 0.0000) x2


# 2
Starting from the GGA-PBE geometry in Alexandria, the powder XRD pattern of Pr2HgAuO5 was computed for CuKα.
Intensities are scaled so that the largest is 100.

Most intense lines, 10 to 90 degrees two-theta, in order of rising 2θ:
| h k l | Position (°2θ) | Rel. int. |
| --- | --- | --- |
| 2 0 0 | 25.3 | 14 |
| 2 0 1 | 29.6 | 100 |
| 0 0 2 | 30.6 | 30 |
| 2 1 1 | 32.3 | 21 |
| 2 2 0 | 36.1 | 26 |
| 2 1 2 | 42.2 | 15 |
| 2 2 2 | 48.0 | 24 |
| 2 0 3 | 53.8 | 19 |
| 4 0 1 | 54.4 | 13 |
| 4 2 2 | 67.6 | 13 |

Atomic structure:
a = 7.0400 Å, b = 7.0400 Å, c = 5.8430 Å
α = 90.00°, β = 90.00°, γ = 90.00°
Space group P4/mbm (No. 127)
Symmetry-distinct sites (fractional):
Pr (0.1768, 0.3232, 0.0000) x4
Hg (0.0000, 0.0000, 0.5000) x2
Au (0.0000, 0.5000, 0.5000) x2
O (0.0000, 0.0000, 0.0000) x2
O (0.1301, 0.6301, 0.2364) x8


# 3
Starting from the GGA-PBE geometry in Alexandria, the powder XRD pattern of Na5Cu2Sn4 was computed for CuKα.
Intensities are scaled so that the largest is 100.

Most intense lines, 10 to 90 degrees two-theta, in order of rising 2θ:
| h k l | Position (°2θ) | Rel. int. |
| --- | --- | --- |
| 1 0 0 | 10.8 | 100 |
| 1 0 -1 | 13.2 | 65 |
| 1 0 -2 | 20.0 | 23 |
| 3 0 0 | 32.8 | 31 |
| 2 0 -3 | 33.0 | 82 |
| 2 1 0 | 34.1 | 60 |
| 1 1 2 | 34.5 | 53 |
| 2 1 -2 | 37.6 | 27 |
| 0 1 3 | 38.1 | 31 |
| 2 1 -3 | 42.5 | 29 |

Atomic structure:
a = 8.2506 Å, b = 3.4289 Å, c = 9.8270 Å
α = 90.00°, β = 97.11°, γ = 90.00°
Space group P2/m (No. 10)
Symmetry-distinct sites (fractional):
Na (0.0000, 0.0000, 0.0000) x1
Na (0.0354, 0.0000, 0.3416) x2
Na (0.3629, 0.0000, 0.8689) x2
Cu (0.4243, 0.0000, 0.3783) x2
Sn (0.3012, 0.5000, 0.1758) x2
Sn (0.3082, 0.5000, 0.5686) x2


# 4
Starting from the GGA-PBE geometry in Alexandria, the powder XRD pattern of Zr3Ni5 was computed for CuKα.
Intensities are scaled so that the largest is 100.

Most intense lines, 10 to 90 degrees two-theta, in order of rising 2θ:
| h k l | Position (°2θ) | Rel. int. |
| --- | --- | --- |
| 0 2 2 | 34.2 | 22 |
| 1 1 3 | 34.6 | 16 |
| 3 1 0 | 35.2 | 19 |
| 2 2 1 | 36.6 | 27 |
| 0 0 4 | 40.0 | 40 |
| 2 2 2 | 40.7 | 100 |
| 4 0 0 | 43.5 | 52 |
| 2 2 3 | 46.7 | 54 |
| 4 0 4 | 60.5 | 19 |
| 5 3 0 | 71.7 | 15 |

Atomic structure:
a = 8.3243 Å, b = 6.4467 Å, c = 9.0223 Å
α = 90.00°, β = 90.00°, γ = 90.00°
Space group Cmcm (No. 63)
Symmetry-distinct sites (fractional):
Zr (0.0000, 0.1475, 0.2500) x4
Zr (0.2018, 0.5000, 0.0000) x8
Ni (0.0000, 0.1760, 0.5558) x8
Ni (0.0000, 0.4516, 0.7500) x4
Ni (0.2148, 0.2039, 0.7500) x8


# 5
Starting from the GGA-PBE geometry in Alexandria, the powder XRD pattern of Sr2BeCrN4 was computed for CuKα.
Intensities are scaled so that the largest is 100.

Most intense lines, 10 to 90 degrees two-theta, in order of rising 2θ:
| h k l | Position (°2θ) | Rel. int. |
| --- | --- | --- |
| 1 0 1 | 21.8 | 34 |
| 0 2 0 | 27.0 | 15 |
| 0 0 2 | 29.5 | 37 |
| 2 0 0 | 32.6 | 42 |
| 1 2 1 | 35.0 | 100 |
| 0 2 2 | 40.4 | 27 |
| 2 2 0 | 42.8 | 19 |
| 2 0 2 | 44.5 | 37 |
| 1 2 3 | 55.9 | 19 |
| 3 2 1 | 59.7 | 21 |

Atomic structure:
a = 5.4978 Å, b = 6.6122 Å, c = 6.0631 Å
α = 90.00°, β = 90.00°, γ = 90.00°
Space group Pmmn (No. 59, origin choice 2)
Symmetry-distinct sites (fractional):
Sr (0.2500, 0.0009, 0.2416) x4
Be (0.2500, 0.7500, 0.6658) x2
Cr (0.2500, 0.2500, 0.6743) x2
N (0.0025, 0.7500, 0.4986) x4
N (0.2500, 0.0161, 0.8203) x4


# 6
Starting from the GGA-PBE geometry in Alexandria, the powder XRD pattern of HgOsF5 was computed for CuKα.
Intensities are scaled so that the largest is 100.

Most intense lines, 10 to 90 degrees two-theta, in order of rising 2θ:
| h k l | Position (°2θ) | Rel. int. |
| --- | --- | --- |
| 0 2 0 | 20.4 | 100 |
| 2 0 0 | 21.3 | 96 |
| 1 1 -2 | 27.7 | 87 |
| 3 1 -2 | 28.0 | 85 |
| 2 2 0 | 29.6 | 51 |
| 1 3 -2 | 40.5 | 29 |
| 3 3 -2 | 40.7 | 28 |
| 1 1 2 | 41.2 | 28 |
| 5 1 -2 | 41.9 | 26 |
| 4 2 -4 | 52.8 | 26 |

Atomic structure:
a = 11.1757 Å, b = 8.7235 Å, c = 7.5665 Å
α = 90.00°, β = 131.58°, γ = 90.00°
Space group C2/c (No. 15)
Symmetry-distinct sites (fractional):
Hg (0.0000, 0.0202, 0.2500) x4
Os (0.0000, 0.5000, 0.0000) x4
F (0.0000, 0.4250, 0.2500) x4
F (0.0126, 0.2885, 0.9515) x8
F (0.2309, 0.4892, 0.7328) x8


# 7
Starting from the GGA-PBE geometry in Alexandria, the powder XRD pattern of Sc3PdPt2 was computed for CuKα.
Intensities are scaled so that the largest is 100.

Most intense lines, 10 to 90 degrees two-theta, in order of rising 2θ:
| h k l | Position (°2θ) | Rel. int. |
| --- | --- | --- |
| 1 0 1 | 27.0 | 44 |
| 1 1 0 | 38.6 | 100 |
| 0 2 1 | 47.8 | 10 |
| 2 0 2 | 55.7 | 17 |
| 1 1 3 | 62.9 | 8 |
| 2 1 1 | 63.0 | 9 |
| 1 0 4 | 69.7 | 9 |
| 3 0 0 | 69.8 | 25 |
| 0 2 4 | 82.6 | 6 |
| 1 3 1 | 89.0 | 7 |

Atomic structure:
a = 4.6638 Å, b = 4.6638 Å, c = 5.7284 Å
α = 90.00°, β = 90.00°, γ = 120.00°
Space group P-3m1 (No. 164)
Symmetry-distinct sites (fractional):
Sc (0.0000, 0.0000, 0.0000) x1
Sc (0.3333, 0.6667, 0.6697) x2
Pd (0.0000, 0.0000, 0.5000) x1
Pt (0.3333, 0.6667, 0.1762) x2


# 8
Starting from the GGA-PBE geometry in Alexandria, the powder XRD pattern of FeCu2Cl5 was computed for CuKα.
Intensities are scaled so that the largest is 100.

Most intense lines, 10 to 90 degrees two-theta, in order of rising 2θ:
| h k l | Position (°2θ) | Rel. int. |
| --- | --- | --- |
| 1 1 0 | 15.7 | 54 |
| 2 0 0 | 17.0 | 100 |
| 2 0 -1 | 17.3 | 13 |
| 1 1 -1 | 19.6 | 32 |
| 4 0 -1 | 30.6 | 16 |
| 0 2 1 | 31.3 | 16 |
| 2 2 -2 | 39.8 | 39 |
| 0 2 2 | 42.6 | 34 |
| 4 2 -2 | 44.6 | 15 |
| 5 1 0 | 45.6 | 13 |

Atomic structure:
a = 11.6881 Å, b = 6.6878 Å, c = 6.1740 Å
α = 90.00°, β = 117.04°, γ = 90.00°
Space group Cm (No. 8)
Symmetry-distinct sites (fractional):
Fe (0.0000, 0.0000, 0.0000) x2
Cu (0.4118, 0.0000, 0.9884) x2
Cu (0.4895, 0.5000, 0.5548) x2
Cl (0.0117, 0.2423, 0.2928) x4
Cl (0.1817, 0.0000, 0.9514) x2
Cl (0.3780, 0.2567, 0.7025) x4


# 9
Starting from the GGA-PBE geometry in Alexandria, the powder XRD pattern of Ac6Mg3Hg was computed for CuKα.
Intensities are scaled so that the largest is 100.

Most intense lines, 10 to 90 degrees two-theta, in order of rising 2θ:
| h k l | Position (°2θ) | Rel. int. |
| --- | --- | --- |
| 1 1 -2 | 20.8 | 18 |
| 2 0 1 | 22.2 | 10 |
| 2 0 -4 | 28.8 | 18 |
| 0 2 0 | 30.3 | 32 |
| 1 1 3 | 30.6 | 100 |
| 2 1 -4 | 32.6 | 12 |
| 2 2 -4 | 42.3 | 13 |
| 4 0 2 | 45.3 | 9 |
| 1 3 3 | 54.0 | 21 |
| 4 2 2 | 55.5 | 11 |

Atomic structure:
a = 10.1119 Å, b = 5.9013 Å, c = 13.0439 Å
α = 90.00°, β = 109.86°, γ = 90.00°
Space group P2_1/m (No. 11)
Symmetry-distinct sites (fractional):
Ac (0.0352, 0.2500, 0.4162) x2
Ac (0.1656, 0.7500, 0.1701) x2
Ac (0.2460, 0.2500, 0.9974) x2
Ac (0.3447, 0.7500, 0.8088) x2
Ac (0.3605, 0.2500, 0.3436) x2
Ac (0.4071, 0.2500, 0.6363) x2
Mg (0.0288, 0.7500, 0.8714) x2
Mg (0.1003, 0.2500, 0.7149) x2
Mg (0.2674, 0.7500, 0.4738) x2
Hg (0.4563, 0.7500, 0.0872) x2


# 10
Starting from the GGA-PBE geometry in Alexandria, the powder XRD pattern of Sm2DyPaAs5 was computed for CuKα.
Intensities are scaled so that the largest is 100.

Most intense lines, 10 to 90 degrees two-theta, in order of rising 2θ:
| h k l | Position (°2θ) | Rel. int. |
| --- | --- | --- |
| 1 0 2 | 24.0 | 72 |
| 1 1 0 | 24.8 | 100 |
| 0 0 4 | 32.9 | 45 |
| 2 0 0 | 35.4 | 79 |
| 1 1 4 | 41.6 | 46 |
| 2 1 2 | 43.2 | 31 |
| 2 0 4 | 49.1 | 58 |
| 2 2 0 | 50.9 | 28 |
| 2 2 4 | 61.9 | 29 |
| 3 1 4 | 67.8 | 22 |

Atomic structure:
a = 5.0755 Å, b = 5.0755 Å, c = 10.8936 Å
α = 90.00°, β = 90.00°, γ = 90.00°
Space group P4/mmm (No. 123)
Symmetry-distinct sites (fractional):
Sm (0.0000, 0.0000, 0.2295) x2
Dy (0.5000, 0.5000, 0.5000) x1
Pa (0.5000, 0.5000, 0.0000) x1
As (0.0000, 0.0000, 0.5000) x1
As (0.0000, 0.5000, 0.0000) x2
As (0.5000, 0.5000, 0.2537) x2


# 11
Starting from the GGA-PBE geometry in Alexandria, the powder XRD pattern of Ba3Cl2O2 was computed for CuKα.
Intensities are scaled so that the largest is 100.

Most intense lines, 10 to 90 degrees two-theta, in order of rising 2θ:
| h k l | Position (°2θ) | Rel. int. |
| --- | --- | --- |
| 0 1 1 | 16.9 | 38 |
| 1 0 -2 | 22.9 | 43 |
| 1 1 1 | 24.9 | 35 |
| 1 1 -2 | 25.4 | 22 |
| 0 2 1 | 25.6 | 63 |
| 2 1 -1 | 26.0 | 100 |
| 2 1 0 | 28.7 | 37 |
| 1 2 1 | 31.6 | 29 |
| 1 0 2 | 34.2 | 30 |
| 1 1 -3 | 36.6 | 37 |

Atomic structure:
a = 7.5897 Å, b = 8.0553 Å, c = 7.7917 Å
α = 90.00°, β = 117.43°, γ = 90.00°
Space group P2_1/c (No. 14)
Symmetry-distinct sites (fractional):
Ba (0.0000, 0.0000, 0.0000) x2
Ba (0.3818, 0.1096, 0.7596) x4
Cl (0.1550, 0.6579, 0.9175) x4
O (0.3464, 0.1127, 0.0729) x4


# 12
Starting from the GGA-PBE geometry in Alexandria, the powder XRD pattern of SnSb6 was computed for CuKα.
Intensities are scaled so that the largest is 100.

Most intense lines, 10 to 90 degrees two-theta, in order of rising 2θ:
| h k l | Position (°2θ) | Rel. int. |
| --- | --- | --- |
| 1 1 0 | 15.0 | 21 |
| 2 0 0 | 21.3 | 41 |
| 2 1 1 | 26.1 | 100 |
| 2 2 2 | 37.3 | 36 |
| 3 2 1 | 40.4 | 63 |
| 4 0 0 | 43.3 | 35 |
| 4 2 0 | 48.7 | 18 |
| 5 2 1 | 60.7 | 19 |
| 4 4 0 | 62.9 | 23 |
| 6 1 1 | 69.3 | 19 |

Atomic structure:
a = 8.3595 Å, b = 8.3595 Å, c = 8.3595 Å
α = 90.00°, β = 90.00°, γ = 90.00°
Space group Im-3m (No. 229)
Symmetry-distinct sites (fractional):
Sn (0.0000, 0.0000, 0.0000) x2
Sb (0.0000, 0.2500, 0.5000) x12